# BaTi2V2O7
Calculated powder diffraction line list, a wavelength of 1.5418 Å. Input: a structure optimized by DFT (PBE+U).

Structural model:
Cell lengths 8.787, 8.787, 8.787 Å; angles 152.70, 39.43, 152.10 degrees
Sites, in units of the cell vectors:
Ba1 0.000 0.000 0.000
Ti1 0.247 0.499 0.748
Ti2 0.752 0.499 0.252
V1 0.383 0.000 0.383
V2 0.617 0.000 0.617
O1 0.132 0.500 0.632
O2 0.257 0.000 0.257
O3 0.368 0.500 0.868
O4 0.502 0.002 0.500
O5 0.633 0.500 0.132
O6 0.743 0.000 0.743
O7 0.868 0.500 0.368

Most intense lines, 10° ≤ 2θ ≤ 90°, sorted by position:
2θ 26.53, intensity 49
2θ 26.90, intensity 51
2θ 32.08, intensity 100
2θ 34.39, intensity 32
2θ 34.68, intensity 28
2θ 42.67, intensity 41
2θ 43.65, intensity 38
2θ 43.78, intensity 38
2θ 62.74, intensity 44
2θ 63.54, intensity 22